Simulated XRD peak list
Compound: Pr2ErPb2
Radiation: copper Kα
Structure: a DFT-relaxed cell (PBE, Alexandria)

Largest 10 diffraction maxima, most intense first, 2θ = 5–70°:
d 2.894, 2θ 30.9, rel. 100, hkl 2 1 1
d 2.620, 2θ 34.2, rel. 40, hkl 3 1 0
d 1.736, 2θ 52.7, rel. 24, hkl 3 1 2
d 2.318, 2θ 38.9, rel. 19, hkl 0 0 2
d 1.460, 2θ 63.7, rel. 16, hkl 5 2 1
d 3.089, 2θ 28.9, rel. 15, hkl 2 0 1
d 2.281, 2θ 39.5, rel. 12, hkl 3 1 1
d 4.635, 2θ 19.1, rel. 12, hkl 0 0 1
d 1.426, 2θ 65.5, rel. 12, hkl 2 1 3
d 1.844, 2θ 49.4, rel. 10, hkl 4 1 1

Atomic structure:
Cell lengths 8.2858, 8.2858, 4.6350 Å; angles 90.00, 90.00, 90.00 degrees
Space group P4/mbm (No. 127)
Inequivalent atoms, fractional coordinates:
Pr: 0.1687 0.3313 0.0000 x4
Er: 0.0000 0.0000 0.5000 x2
Pb: 0.1364 0.6364 0.5000 x4